Record 1
Diffraction record for ScPb7. The XRD peak list is calculated, not measured: it uses a cell relaxed with PBE and Cu Kα, 1.54184 Å.

Atomic structure:
a b c (Å): 9.8424 9.8424 9.8424
angles (deg): 90.00 90.00 90.00
Space group Fm-3m (No. 225)
Unique sites:
Sc (0.0000, 0.0000, 0.0000) (multiplicity 4)
Pb (0.0000, 0.0000, 0.5000) (multiplicity 4)
Pb (0.0000, 0.2500, 0.2500) (multiplicity 24)

Most intense lines, 10 to 90 degrees two-theta, sorted by position:
| two_theta | d_spacing | Rel. int. | h k l |
| --- | --- | --- | --- |
| 31.49 | 2.841 | 100.0 | 2 2 2 |
| 36.52 | 2.461 | 50.9 | 4 0 0 |
| 52.60 | 1.740 | 36.5 | 4 4 0 |
| 62.61 | 1.484 | 43.6 | 6 2 2 |
| 65.73 | 1.421 | 12.6 | 4 4 4 |
| 77.60 | 1.230 | 6.0 | 8 0 0 |
| 86.13 | 1.129 | 19.2 | 6 6 2 |
| 88.95 | 1.100 | 18.1 | 8 4 0 |



Record 2
Diffraction record for AcAs2Pd4Pb. The XRD peak list is calculated, not measured: it uses a cell relaxed with PBE and Cu Kα, 1.54184 Å.

Atomic structure:
a b c (Å): 4.5619 4.5619 8.1652
angles (deg): 90.00 90.00 90.00
Space group P4/mmm (No. 123)
Unique sites:
Ac (0.0000, 0.0000, 0.0000) (multiplicity 1)
As (0.5000, 0.5000, 0.1617) (multiplicity 2)
Pd (0.0000, 0.5000, 0.2981) (multiplicity 4)
Pb (0.0000, 0.0000, 0.5000) (multiplicity 1)

Most intense lines, 10 to 90 degrees two-theta, sorted by position:
| two_theta | d_spacing | Rel. int. | h k l |
| --- | --- | --- | --- |
| 19.46 | 4.562 | 30.3 | 1 0 0 |
| 29.36 | 3.042 | 78.5 | 1 0 2 |
| 35.47 | 2.531 | 100.0 | 1 1 2 |
| 39.51 | 2.281 | 75.1 | 2 0 0 |
| 43.51 | 2.080 | 25.4 | 1 1 3 |
| 49.98 | 1.825 | 37.0 | 2 1 2 |
| 57.11 | 1.613 | 25.6 | 2 2 0 |
| 69.05 | 1.360 | 32.3 | 3 1 2 |



Record 3
Diffraction record for Ca3H5Br. The XRD peak list is calculated, not measured: it uses a cell relaxed with PBE and Cu Kα, 1.54184 Å.

Atomic structure:
a b c (Å): 3.7508 12.3221 10.9773
angles (deg): 90.00 90.00 90.00
Space group Cmcm (No. 63)
Unique sites:
Ca (0.0000, 0.0867, 0.2500) (multiplicity 4)
Ca (0.0000, 0.3756, 0.0373) (multiplicity 8)
H (0.0000, 0.0000, 0.0000) (multiplicity 4)
H (0.0000, 0.1922, 0.0661) (multiplicity 8)
H (0.0000, 0.4579, 0.6420) (multiplicity 8)
Br (0.0000, 0.1695, 0.7500) (multiplicity 4)

Most intense lines, 10 to 90 degrees two-theta, sorted by position:
| two_theta | d_spacing | Rel. int. | h k l |
| --- | --- | --- | --- |
| 16.50 | 5.373 | 30.6 | 0 2 1 |
| 28.99 | 3.081 | 33.4 | 0 4 0 |
| 29.75 | 3.003 | 100.0 | 1 1 2 |
| 30.13 | 2.966 | 35.7 | 0 4 1 |
| 32.63 | 2.744 | 36.1 | 0 0 4 |
| 35.02 | 2.562 | 32.4 | 1 1 3 |
| 36.33 | 2.473 | 67.2 | 1 3 2 |
| 50.87 | 1.795 | 19.9 | 1 5 3 |



Record 4
Diffraction record for Ce2AgSn3Pd4. The XRD peak list is calculated, not measured: it uses a cell relaxed with PBE and Cu Kα, 1.54184 Å.

Atomic structure:
a b c (Å): 4.2773 4.2773 12.0168
angles (deg): 90.00 90.00 90.00
Space group P-4m2 (No. 115)
Unique sites:
Ce (0.0000, 0.5000, 0.2401) (multiplicity 2)
Ag (0.5000, 0.5000, 0.0000) (multiplicity 1)
Sn (0.0000, 0.0000, 0.0000) (multiplicity 1)
Sn (0.0000, 0.5000, 0.6317) (multiplicity 2)
Pd (0.0000, 0.0000, 0.5000) (multiplicity 1)
Pd (0.0000, 0.5000, 0.8500) (multiplicity 2)
Pd (0.5000, 0.5000, 0.5000) (multiplicity 1)

Most intense lines, 10 to 90 degrees two-theta, sorted by position:
| two_theta | d_spacing | Rel. int. | h k l |
| --- | --- | --- | --- |
| 30.58 | 2.924 | 44.8 | 1 0 3 |
| 33.16 | 2.702 | 100.0 | 1 1 2 |
| 42.26 | 2.139 | 54.5 | 2 0 0 |
| 42.41 | 2.131 | 27.1 | 1 1 4 |
| 43.18 | 2.095 | 34.2 | 1 0 5 |
| 53.05 | 1.726 | 19.1 | 2 1 3 |
| 62.01 | 1.497 | 23.4 | 2 1 5 |
| 71.49 | 1.320 | 21.2 | 3 1 2 |



Record 5
Diffraction record for SrSn4Te5. The XRD peak list is calculated, not measured: it uses a cell relaxed with PBE and Cu Kα, 1.54184 Å.

Atomic structure:
a b c (Å): 4.5720 6.4669 22.9950
angles (deg): 90.00 90.00 90.00
Space group Immm (No. 71)
Unique sites:
Sr (0.0000, 0.0000, 0.0000) (multiplicity 2)
Sn (0.0000, 0.0000, 0.2027) (multiplicity 4)
Sn (0.0000, 0.0000, 0.3991) (multiplicity 4)
Te (0.0000, 0.5000, 0.0000) (multiplicity 2)
Te (0.0000, 0.5000, 0.1989) (multiplicity 4)
Te (0.0000, 0.5000, 0.3948) (multiplicity 4)

Most intense lines, 10 to 90 degrees two-theta, sorted by position:
| two_theta | d_spacing | Rel. int. | h k l |
| --- | --- | --- | --- |
| 27.53 | 3.239 | 100.0 | 0 2 0 |
| 39.18 | 2.300 | 12.8 | 0 0 10 |
| 39.37 | 2.289 | 64.4 | 2 0 0 |
| 48.58 | 1.874 | 13.8 | 0 2 10 |
| 48.79 | 1.867 | 14.0 | 2 2 0 |
| 64.27 | 1.449 | 12.0 | 2 2 10 |
| 64.40 | 1.447 | 18.3 | 3 0 5 |
| 71.45 | 1.320 | 13.6 | 2 4 0 |



Record 6
Diffraction record for Sm2P7Ir12. The XRD peak list is calculated, not measured: it uses a cell relaxed with PBE and Cu Kα, 1.54184 Å.

Atomic structure:
a b c (Å): 9.6139 9.6139 3.9916
angles (deg): 90.00 90.00 120.00
Space group P-3 (No. 147)
Unique sites:
Sm (0.3333, 0.6667, 0.2526) (multiplicity 2)
P (0.0000, 0.0000, 0.0000) (multiplicity 1)
P (0.1235, 0.4072, 0.7466) (multiplicity 6)
Ir (0.0683, 0.6162, 0.7538) (multiplicity 6)
Ir (0.1057, 0.8435, 0.2623) (multiplicity 6)

Most intense lines, 10 to 90 degrees two-theta, sorted by position:
| two_theta | d_spacing | Rel. int. | h k l |
| --- | --- | --- | --- |
| 28.36 | 3.147 | 18.9 | 1 2 0 |
| 36.35 | 2.471 | 100.0 | 1 2 1 |
| 45.42 | 1.997 | 25.5 | 0 0 2 |
| 47.61 | 1.910 | 11.3 | 2 3 0 |
| 50.21 | 1.817 | 18.5 | 4 1 0 |
| 70.03 | 1.344 | 13.2 | 4 1 2 |
| 77.96 | 1.225 | 11.0 | 1 2 3 |
| 85.12 | 1.140 | 10.0 | 3 5 1 |



Record 7
Diffraction record for Hf5Zr5Sn6. The XRD peak list is calculated, not measured: it uses a cell relaxed with PBE and Cu Kα, 1.54184 Å.

Atomic structure:
a b c (Å): 5.7637 14.6740 8.5064
angles (deg): 90.00 90.00 90.00
Space group Amm2 (No. 38)
Unique sites:
Hf (0.0000, 0.0000, 0.0000) (multiplicity 2)
Hf (0.2499, 0.1668, 0.2516) (multiplicity 8)
Zr (0.0000, 0.1229, 0.6288) (multiplicity 4)
Zr (0.5000, 0.0000, 0.5020) (multiplicity 2)
Zr (0.5000, 0.1227, 0.8749) (multiplicity 4)
Sn (0.0000, 0.0000, 0.3578) (multiplicity 2)
Sn (0.0000, 0.1961, 0.9483) (multiplicity 4)
Sn (0.5000, 0.0000, 0.1443) (multiplicity 2)
Sn (0.5000, 0.1966, 0.5549) (multiplicity 4)

Most intense lines, 10 to 90 degrees two-theta, sorted by position:
| two_theta | d_spacing | Rel. int. | h k l |
| --- | --- | --- | --- |
| 12.03 | 7.355 | 36.9 | 0 1 1 |
| 32.19 | 2.781 | 25.4 | 0 4 2 |
| 35.85 | 2.505 | 53.2 | 1 1 3 |
| 35.92 | 2.500 | 29.5 | 1 5 1 |
| 36.63 | 2.453 | 41.3 | 0 3 3 |
| 36.75 | 2.446 | 22.8 | 0 6 0 |
| 37.73 | 2.384 | 100.0 | 2 0 2 |
| 58.40 | 1.580 | 20.2 | 3 5 1 |



Record 8
Diffraction record for Ac4NdTl3. The XRD peak list is calculated, not measured: it uses a cell relaxed with PBE and Cu Kα, 1.54184 Å.

Atomic structure:
a b c (Å): 3.9379 3.9379 18.9027
angles (deg): 90.00 90.00 90.00
Space group P4/mmm (No. 123)
Unique sites:
Ac (0.0000, 0.0000, 0.1204) (multiplicity 2)
Ac (0.0000, 0.0000, 0.3592) (multiplicity 2)
Nd (0.5000, 0.5000, 0.5000) (multiplicity 1)
Tl (0.5000, 0.5000, 0.0000) (multiplicity 1)
Tl (0.5000, 0.5000, 0.2402) (multiplicity 2)

Most intense lines, 10 to 90 degrees two-theta, sorted by position:
| two_theta | d_spacing | Rel. int. | h k l |
| --- | --- | --- | --- |
| 29.53 | 3.025 | 100.0 | 1 0 4 |
| 32.15 | 2.785 | 42.8 | 1 1 0 |
| 38.08 | 2.363 | 10.6 | 0 0 8 |
| 46.10 | 1.969 | 16.1 | 2 0 0 |
| 50.67 | 1.802 | 19.0 | 1 1 8 |
| 55.70 | 1.650 | 34.8 | 2 1 4 |
| 61.28 | 1.513 | 10.9 | 2 0 8 |
| 88.82 | 1.102 | 8.3 | 3 1 8 |



Record 9
Diffraction record for Li2Ir2O7. The XRD peak list is calculated, not measured: it uses a cell relaxed with PBE and Cu Kα, 1.54184 Å.

Atomic structure:
a b c (Å): 5.4346 5.9399 6.4894
angles (deg): 67.13 75.43 69.87
Space group P1 (No. 1)
Unique sites:
Li (0.0000, 0.0000, 0.0000) (multiplicity 1)
Li (0.0258, 0.4390, 0.6389) (multiplicity 1)
Ir (0.3843, 0.3837, 0.0255) (multiplicity 1)
Ir (0.3973, 0.8715, 0.5335) (multiplicity 1)
O (0.1193, 0.0567, 0.6658) (multiplicity 1)
O (0.1767, 0.6364, 0.1269) (multiplicity 1)
O (0.2461, 0.1450, 0.0361) (multiplicity 1)
O (0.2727, 0.5696, 0.7166) (multiplicity 1)
O (0.4882, 0.1736, 0.3264) (multiplicity 1)
O (0.7145, 0.6759, 0.4793) (multiplicity 1)
O (0.7295, 0.3453, 0.9139) (multiplicity 1)

Most intense lines, 10 to 90 degrees two-theta, sorted by position:
| two_theta | d_spacing | Rel. int. | h k l |
| --- | --- | --- | --- |
| 17.54 | 5.055 | 100.0 | 1 0 0 |
| 18.46 | 4.805 | 89.5 | 0 1 1 |
| 20.36 | 4.362 | 83.5 | 1 1 1 |
| 26.13 | 3.410 | 37.5 | 0 1 -1 |
| 29.95 | 2.984 | 24.9 | -1 1 1 |
| 30.14 | 2.965 | 48.8 | 0 0 2 |
| 32.90 | 2.722 | 25.7 | 1 0 2 |
| 33.79 | 2.652 | 19.0 | 1 2 0 |



Record 10
Diffraction record for TaZnPtO6. The XRD peak list is calculated, not measured: it uses a cell relaxed with PBE and Cu Kα, 1.54184 Å.

Atomic structure:
a b c (Å): 4.7280 4.7280 9.3701
angles (deg): 90.00 90.00 90.00
Space group P4_2nm (No. 102)
Unique sites:
Ta (0.0000, 0.0000, 0.0000) (multiplicity 2)
Zn (0.0000, 0.0000, 0.3303) (multiplicity 2)
Pt (0.0000, 0.0000, 0.6626) (multiplicity 2)
O (0.1875, 0.1875, 0.8314) (multiplicity 4)
O (0.1987, 0.1987, 0.5029) (multiplicity 4)
O (0.2049, 0.2049, 0.1528) (multiplicity 4)

Most intense lines, 10 to 90 degrees two-theta, sorted by position:
| two_theta | d_spacing | Rel. int. | h k l |
| --- | --- | --- | --- |
| 21.05 | 4.221 | 22.0 | 1 0 1 |
| 26.66 | 3.343 | 100.0 | 1 1 0 |
| 34.41 | 2.606 | 84.2 | 1 0 3 |
| 38.07 | 2.364 | 25.6 | 2 0 0 |
| 52.25 | 1.751 | 66.3 | 2 1 3 |
| 54.93 | 1.672 | 16.2 | 2 2 0 |
| 62.08 | 1.495 | 16.3 | 3 1 0 |
| 66.45 | 1.407 | 19.0 | 3 0 3 |



Record 11
Diffraction record for Sm4Y3Ho2. The XRD peak list is calculated, not measured: it uses a cell relaxed with PBE and Cu Kα, 1.54184 Å.

Atomic structure:
a b c (Å): 9.8006 16.9136 7.0913
angles (deg): 90.00 90.00 90.00
Space group Cccm (No. 66)
Unique sites:
Sm (0.1482, 0.1732, 0.0000) (multiplicity 8)
Sm (0.1650, 0.4851, 0.0000) (multiplicity 8)
Y (0.0000, 0.0000, 0.2500) (multiplicity 4)
Y (0.0000, 0.3302, 0.2500) (multiplicity 8)
Ho (0.1867, 0.1602, 0.5000) (multiplicity 8)

Most intense lines, 10 to 90 degrees two-theta, sorted by position:
| two_theta | d_spacing | Rel. int. | h k l |
| --- | --- | --- | --- |
| 25.12 | 3.546 | 19.6 | 0 0 2 |
| 30.64 | 2.918 | 13.5 | 1 5 1 |
| 31.15 | 2.871 | 85.0 | 2 0 2 |
| 31.68 | 2.824 | 100.0 | 3 3 0 |
| 40.85 | 2.209 | 27.4 | 3 3 2 |
| 45.03 | 2.013 | 28.1 | 2 6 2 |
| 56.06 | 1.640 | 18.0 | 5 3 2 |
| 61.79 | 1.502 | 30.3 | 3 3 4 |



Record 12
Diffraction record for Ho2Er7Cd2. The XRD peak list is calculated, not measured: it uses a cell relaxed with PBE and Cu Kα, 1.54184 Å.

Atomic structure:
a b c (Å): 9.0782 9.4027 7.9452
angles (deg): 90.00 104.56 90.00
Space group C2/m (No. 12)
Unique sites:
Ho (0.0000, 0.1784, 0.0000) (multiplicity 4)
Er (0.0000, 0.0000, 0.5000) (multiplicity 2)
Er (0.1817, 0.2964, 0.6754) (multiplicity 8)
Er (0.1921, 0.5000, 0.0347) (multiplicity 4)
Cd (0.1013, 0.5000, 0.3578) (multiplicity 4)

Most intense lines, 10 to 90 degrees two-theta, sorted by position:
| two_theta | d_spacing | Rel. int. | h k l |
| --- | --- | --- | --- |
| 26.70 | 3.339 | 25.3 | 2 0 -2 |
| 31.53 | 2.837 | 71.7 | 1 3 -1 |
| 32.01 | 2.796 | 37.7 | 3 1 0 |
| 32.13 | 2.786 | 100.0 | 2 2 1 |
| 32.90 | 2.722 | 42.7 | 2 2 -2 |
| 34.85 | 2.574 | 24.0 | 3 1 -2 |
| 35.00 | 2.563 | 33.0 | 0 0 3 |
| 58.32 | 1.582 | 21.8 | 3 5 0 |



Record 13
Diffraction record for Er4TlBi3. The XRD peak list is calculated, not measured: it uses a cell relaxed with PBE and Cu Kα, 1.54184 Å.

Atomic structure:
a b c (Å): 6.2697 6.2697 6.2697
angles (deg): 90.00 90.00 90.00
Space group Pm-3m (No. 221)
Unique sites:
Er (0.0000, 0.0000, 0.0000) (multiplicity 1)
Er (0.0000, 0.5000, 0.5000) (multiplicity 3)
Tl (0.5000, 0.5000, 0.5000) (multiplicity 1)
Bi (0.0000, 0.0000, 0.5000) (multiplicity 3)

Most intense lines, 10 to 90 degrees two-theta, sorted by position:
| two_theta | d_spacing | Rel. int. | h k l |
| --- | --- | --- | --- |
| 24.59 | 3.620 | 2.0 | 1 1 1 |
| 28.47 | 3.135 | 100.0 | 2 0 0 |
| 40.70 | 2.217 | 77.9 | 2 2 0 |
| 50.42 | 1.810 | 28.2 | 2 2 2 |
| 58.92 | 1.567 | 13.4 | 4 0 0 |
| 66.72 | 1.402 | 37.0 | 4 2 0 |
| 74.08 | 1.280 | 27.6 | 4 2 2 |
| 88.15 | 1.108 | 9.2 | 4 4 0 |